For K2NiPd4, DFT lattice parameters and positions (PBE) gives the calculated XRD peak list in this record (CuKα).
Kinematic intensities with the Lorentz-polarization factor, no thermal factor.

Top 10 peaks for 2θ from 10° to 80°, by angle:
h k l	2θ (°)	d_spacing	I/Imax
0 0 2	11.07	7.992	95.4
1 0 1	19.52	4.547	57.4
1 1 2	28.87	3.092	56.3
0 0 6	33.64	2.664	43.4
1 1 4	34.93	2.569	100.0
2 0 0	37.94	2.371	81.8
2 0 6	51.60	1.771	49.5
2 2 0	54.75	1.677	27.2
2 2 6	65.81	1.419	23.1
3 1 4	66.61	1.404	28.9

Unit cell a=4.742 b=4.742 c=15.983 alpha=90.00 beta=90.00 gamma=90.00
Space group I4/mmm (No. 139)
Unique sites:
K 0.000 0.000 0.148
Ni 0.000 0.000 0.500
Pd 0.000 0.000 0.353
Pd 0.000 0.500 0.000

For ScAgSe2O8, DFT lattice parameters and positions (PBE) gives the calculated XRD peak list in this record (CuKα).
Kinematic intensities with the Lorentz-polarization factor, no thermal factor.

Top 10 peaks for 2θ from 10° to 80°, by angle:
h k l	2θ (°)	d_spacing	I/Imax
1 0 4	25.31	3.519	100.0
1 1 0	35.17	2.552	36.3
0 1 8	37.03	2.428	38.5
0 2 4	43.82	2.066	17.9
2 0 8	51.97	1.759	10.9
3 -1 4	57.39	1.606	17.6
2 -1 12	59.92	1.544	19.1
3 0 0	63.10	1.473	11.7
3 -2 8	64.31	1.449	10.9
4 -3 4	79.98	1.200	7.5

Unit cell a=5.1038 b=5.1038 c=23.2616 alpha=90.00 beta=90.00 gamma=120.00
Space group R-3 (No. 148, hexagonal axes)
Unique sites:
Sc 0.0000 0.0000 0.0000
Ag 0.0000 0.0000 0.5000
Se 0.0000 0.0000 0.2540
O 0.0000 0.0000 0.1831
O 0.0143 0.6466 0.3879

For Ca2Cd3In, DFT lattice parameters and positions (PBE) gives the calculated XRD peak list in this record (CuKα).
Kinematic intensities with the Lorentz-polarization factor, no thermal factor.

Top 10 peaks for 2θ from 10° to 80°, by angle:
h k l	2θ (°)	d_spacing	I/Imax
0 2 2	20.43	4.347	28.6
2 0 0	24.48	3.636	42.3
2 2 2	32.10	2.789	90.1
0 4 0	35.78	2.510	100.0
2 4 0	43.83	2.065	53.7
2 4 4	48.82	1.865	26.4
2 6 2	61.99	1.497	24.7
4 4 0	63.16	1.472	35.3
0 6 6	64.29	1.449	16.7
2 6 6	69.89	1.346	12.9

Unit cell a=7.271 b=10.037 c=17.388 alpha=90.00 beta=90.00 gamma=90.00
Space group Fmmm (No. 69)
Unique sites:
Ca 0.249 0.000 0.000
Ca 0.250 0.250 0.250
Cd 0.000 0.000 0.166
Cd 0.000 0.249 0.083
In 0.000 0.000 0.334